Structure and calculated X-ray powder pattern of Li4Mn3Cr3Te2O16 (a GGA+U-relaxed structure; a wavelength of 1.5418 Å).

Cell and atoms:
Unit cell a=10.5068 b=6.0187 c=9.8495 alpha=90.00 beta=91.74 gamma=90.00
Space group Cm (No. 8)
One atom of each set of equivalent atoms:
Li (0.0000, 0.0000, 0.0000) x2
Li (0.9997, 0.0000, 0.4943) x2
Li (0.1683, 0.5000, 0.5744) x2
Li (0.3362, 0.0000, 0.0742) x2
Mn (0.0829, 0.2572, 0.2731) x4
Mn (0.1677, 0.0000, 0.7732) x2
Cr (0.3270, 0.5000, 0.2714) x2
Cr (0.4172, 0.2492, 0.7697) x4
Te (0.1680, 0.5000, 0.9993) x2
Te (0.3318, 0.0000, 0.5022) x2
O (0.0056, 0.0000, 0.6777) x2
O (0.0211, 0.5000, 0.1301) x2
O (0.0794, 0.2387, 0.8888) x4
O (0.1679, 0.5000, 0.3730) x2
O (0.1692, 0.0000, 0.3996) x2
O (0.2494, 0.2788, 0.1416) x4
O (0.2649, 0.2239, 0.6334) x4
O (0.3317, 0.0000, 0.8674) x2
O (0.3480, 0.5000, 0.8785) x2
O (0.4104, 0.2433, 0.3978) x4
O (0.4807, 0.0000, 0.6388) x2
O (0.4979, 0.5000, 0.1908) x2

Top 12 peaks for 10 to 90 degrees two-theta, sorted by position:
2θ = 18.91°, I = 35.8
2θ = 19.12°, I = 63.0
2θ = 19.37°, I = 100.0
2θ = 24.67°, I = 21.3
2θ = 25.05°, I = 20.3
2θ = 31.99°, I = 23.3
2θ = 32.44°, I = 23.5
2θ = 34.37°, I = 47.7
2θ = 34.95°, I = 31.1
2θ = 35.22°, I = 30.0
2θ = 35.69°, I = 25.8
2θ = 61.26°, I = 29.9